Starting from a cell relaxed with GGA+U, the powder X-ray diffraction pattern of Hf2Co2O was simulated for λ = 1.5418 Å (Cu Kα).
Intensities are scaled so that the largest is 100.

Largest 6 diffraction maxima, low angle first, 15 to 90 degrees two-theta:
h k l  two_theta  I/Imax
0 0 6  28.42  16
1 0 0  33.90  26
1 0 3  36.88  100
0 0 8  38.21  17
1 0 5  41.73  33
1 1 0  60.66  23

Cell and atoms:
Cell lengths 3.053, 3.053, 18.841 Å; angles 90.00, 90.00, 120.00 degrees
Atoms (fractional coordinates):
Hf1 0.333 0.667 0.078
Hf2 0.333 0.667 0.422
Hf3 0.667 0.333 0.578
Hf4 0.667 0.333 0.922
Co1 0.333 0.667 0.688
Co2 0.333 0.667 0.812
Co3 0.667 0.333 0.188
Co4 0.667 0.333 0.312
O1 0.000 0.000 0.000
O2 0.000 0.000 0.500